# RbNa2Ge17
Simulated X-ray powder pattern, Cu Kα. Input: a PBE-relaxed structure.
Intensities are scaled so that the largest is 100.

Atomic structure:
Unit cell a=15.823 b=15.823 c=15.823 alpha=90.00 beta=90.00 gamma=90.00
Space group Fd-3m (No. 227, origin choice 2)
Asymmetric unit:
1 Rb 0.125 0.125 0.125 [8 per cell]
2 Na 0.000 0.000 0.500 [16 per cell]
3 Ge 0.033 0.033 0.717 [32 per cell]
4 Ge 0.068 0.068 0.870 [96 per cell]
5 Ge 0.125 0.125 0.625 [8 per cell]

Top 10 peaks for 5° ≤ 2θ ≤ 70°, in order of rising 2θ:
hkl	2θ/deg	I (rel.)
2 2 2	19.43	17.7
4 0 0	22.48	17.6
3 3 1	24.52	14.1
4 2 2	27.62	29.8
5 1 1	29.33	68.0
4 4 0	32.00	33.6
5 3 1	33.50	44.6
7 3 3	47.01	33.2
6 6 0	48.84	100.0
5 5 5	49.91	25.9